Diffraction record for BaTbO3. The powder diffractogram is simulated, not measured: it uses a PBE-relaxed structure and CuKα.
Neutral-atom scattering factors, no anomalous dispersion.

abc: 6.3237 6.3237 15.1528
angles: 90.00 90.00 120.00
Space group R-3c (No. 167, hexagonal axes)
Inequivalent atoms, fractional coordinates:
Ba (0.0000, 0.0000, 0.2500)
Tb (0.0000, 0.0000, 0.0000)
O (0.0000, 0.4282, 0.2500)

Most intense lines, 2θ from 15° to 90°, in order of rising 2θ:
| 2θ (°) | d [Å] | Rel. int. | index |
| --- | --- | --- | --- |
| 28.2 | 3.162 | 989 | 1 1 0 |
| 28.7 | 3.115 | 1000 | 1 0 4 |
| 40.7 | 2.219 | 542 | 0 2 4 |
| 50.0 | 1.825 | 250 | 3 0 0 |
| 50.2 | 1.816 | 442 | 2 1 4 |
| 51.0 | 1.790 | 205 | 0 1 8 |
| 58.4 | 1.581 | 163 | 2 2 0 |
| 59.3 | 1.558 | 172 | 2 0 8 |
| 66.3 | 1.410 | 180 | 1 3 4 |
| 67.0 | 1.397 | 189 | 1 2 8 |